Record 1
Diffraction record for La3Sm3Dy2. The PXRD pattern is theoretical, not measured: it uses a crystal structure in Alexandria, relaxed with PBE and copper Kα.

Principal peaks in the range 2θ from 5° to 70°, by intensity:
| two_theta | I_rel | hkl |
| --- | --- | --- |
| 30.0 | 100 | 1 1 4 |
| 34.8 | 34 | 2 0 0 |
| 49.9 | 24 | 2 2 0 |
| 34.6 | 17 | 0 2 0 |
| 59.2 | 15 | 1 3 4 |
| 59.5 | 14 | 3 1 4 |
| 59.4 | 14 | 1 1 12 |
| 62.3 | 12 | 2 2 8 |
| 50.0 | 12 | 2 0 8 |
| 8.6 | 1 | 0 0 2 |

Crystal structure
```
data_La3Sm3Dy2
_chemical_formula_sum 'La6 Sm6 Dy4'
_cell_length_a 5.151
_cell_length_b 5.181
_cell_length_c 20.652
_cell_angle_alpha 90.00
_cell_angle_beta 90.00
_cell_angle_gamma 90.00
_space_group_name_H-M_alt 'I m m m'
_space_group_IT_number 71
_space_group_name_Hall '-I 2 2'
loop_
_atom_site_label
_atom_site_fract_x
_atom_site_fract_y
_atom_site_fract_z
_atom_site_occupancy
La1 0.000 0.000 0.000 1
La2 0.000 0.500 0.126 1
Sm1 0.000 0.000 0.500 1
Sm2 0.000 0.500 0.372 1
Dy1 0.000 0.000 0.249 1
```


Record 2
Diffraction record for Ba4LiRh4O12. The PXRD pattern is theoretical, not measured: it uses a crystal structure in Alexandria, relaxed with PBE and copper Kα.

Principal peaks in the range 2θ from 5° to 70°, by intensity:
| two_theta | I_rel | hkl |
| --- | --- | --- |
| 30.3 | 100 | 3 1 0 |
| 31.1 | 83 | 0 2 0 |
| 32.9 | 42 | 1 1 3 |
| 44.4 | 37 | 2 2 -3 |
| 30.9 | 31 | 2 0 -3 |
| 24.7 | 31 | 1 1 -2 |
| 25.7 | 27 | 1 1 2 |
| 52.9 | 21 | 5 1 -3 |
| 31.8 | 21 | 1 1 -3 |
| 46.2 | 21 | 2 2 3 |

Crystal structure
```
data_Ba4LiRh4O12
_chemical_formula_sum 'Ba8 Li2 Rh8 O24'
_cell_length_a 10.339
_cell_length_b 5.747
_cell_length_c 9.986
_cell_angle_alpha 90.00
_cell_angle_beta 94.50
_cell_angle_gamma 90.00
_space_group_name_H-M_alt 'C 1 m 1'
_space_group_IT_number 8
_space_group_name_Hall 'C -2y'
loop_
_atom_site_label
_atom_site_fract_x
_atom_site_fract_y
_atom_site_fract_z
_atom_site_occupancy
Ba1 0.000 0.000 0.000 1
Ba2 0.063 0.000 0.439 1
Ba3 0.148 0.500 0.759 1
Ba4 0.362 0.000 0.236 1
Li1 0.383 0.500 0.636 1
Rh1 0.177 0.500 0.098 1
Rh2 0.210 0.500 0.374 1
Rh3 0.331 0.000 0.872 1
Rh4 0.365 0.000 0.598 1
O1 0.065 0.500 0.506 1
O2 0.121 0.271 0.238 1
O3 0.204 0.000 0.700 1
O4 0.227 0.241 0.972 1
O5 0.332 0.271 0.475 1
O6 0.341 0.500 0.222 1
O7 0.416 0.235 0.753 1
O8 0.484 0.000 0.015 1
```


Record 3
Diffraction record for Pm5AgSe8. The PXRD pattern is theoretical, not measured: it uses a crystal structure in Alexandria, relaxed with PBE and copper Kα.

Principal peaks in the range 2θ from 5° to 70°, by intensity:
| two_theta | I_rel | hkl |
| --- | --- | --- |
| 32.0 | 100 | 1 3 0 |
| 31.6 | 47 | 1 0 3 |
| 37.7 | 34 | 1 2 3 |
| 38.0 | 29 | 3 2 1 |
| 37.9 | 28 | 1 3 2 |
| 24.6 | 24 | 2 1 1 |
| 64.9 | 21 | 1 6 1 |
| 48.0 | 17 | 3 2 3 |
| 24.4 | 14 | 1 1 2 |
| 45.4 | 12 | 2 0 4 |

Crystal structure
```
data_Pm5AgSe8
_chemical_formula_sum 'Pm10 Ag2 Se16'
_cell_length_a 8.848
_cell_length_b 8.848
_cell_length_c 8.966
_cell_angle_alpha 90.00
_cell_angle_beta 90.00
_cell_angle_gamma 90.00
_space_group_name_H-M_alt 'I -4'
_space_group_IT_number 82
_space_group_name_Hall 'I -4'
loop_
_atom_site_label
_atom_site_fract_x
_atom_site_fract_y
_atom_site_fract_z
_atom_site_occupancy
Pm1 0.000 0.000 0.000 1
Pm2 0.130 0.248 0.618 1
Ag1 0.000 0.500 0.250 1
Se1 0.069 0.181 0.296 1
Se2 0.077 0.318 0.935 1
```


Record 4
Diffraction record for BiSb. The PXRD pattern is theoretical, not measured: it uses a crystal structure in Alexandria, relaxed with PBE and copper Kα.

Principal peaks in the range 2θ from 5° to 70°, by intensity:
| two_theta | I_rel | hkl |
| --- | --- | --- |
| 27.9 | 100 | 0 2 0 |
| 39.9 | 63 | 1 2 1 |
| 65.3 | 15 | 2 2 2 |
| 49.3 | 15 | 2 2 0 |
| 39.8 | 13 | 2 0 0 |
| 49.4 | 12 | 0 2 2 |
| 24.1 | 12 | 1 1 0 |
| 65.4 | 12 | 1 4 1 |
| 57.6 | 8 | 2 0 2 |
| 65.1 | 6 | 3 0 1 |

Crystal structure
```
data_BiSb
_chemical_formula_sum 'Bi2 Sb2'
_cell_length_a 4.531
_cell_length_b 6.379
_cell_length_c 4.518
_cell_angle_alpha 90.00
_cell_angle_beta 90.00
_cell_angle_gamma 90.00
_space_group_name_H-M_alt 'P m m n'
_space_group_IT_number 59
loop_
_space_group_symop_operation_xyz
'x,y,z'
'-x,-y,-z'
'-x+1/2,-y+1/2,z'
'x+1/2,y+1/2,-z'
'x+1/2,-y,-z'
'-x+1/2,y,z'
'-x,y+1/2,-z'
'x,-y+1/2,z'
loop_
_atom_site_label
_atom_site_fract_x
_atom_site_fract_y
_atom_site_fract_z
_atom_site_occupancy
Bi1 0.250 0.250 0.215 1
Sb1 0.250 0.750 0.278 1
```